# 1
The following is a calculated XRD peak list of LiAcHg6. It was derived from a structure optimized by DFT (GGA-PBE), using CuKα.
No peak broadening, texture or thermal motion is included.

```
8
Lattice="5.218 0.000 0.000 0.000 7.178 0.000 0.000 0.000 5.476" Properties=species:S:1:pos:R:3 pbc="T T T"
Li 0.000 0.000 0.000
Ac 2.609 3.589 3.709
Hg 0.000 1.569 2.904
Hg 0.000 3.589 0.423
Hg 0.000 5.609 2.904
Hg 2.609 0.000 3.767
Hg 2.609 1.590 0.947
Hg 2.609 5.588 0.947
```

Main lines, sorted by position (2θ = 10–80°):
2θ/deg  Rel. int.
26.67  12
29.76  12
32.71  13
34.45  100
37.08  22
46.10  7
48.18  9
56.56  9
61.63  14
67.89  11



# 2
The following is a calculated XRD peak list of Fe2Pd5Pt5. It was derived from a structure optimized by DFT (GGA-PBE), using CuKα.
No peak broadening, texture or thermal motion is included.

```
12
Lattice="5.870 -1.953 0.000 5.870 1.953 0.000 -3.891 0.000 7.877" Properties=species:S:1:pos:R:3 pbc="T T T"
Fe 0.004 0.000 2.004
Fe 7.845 0.000 5.872
Pd -1.945 0.000 3.938
Pd -1.969 0.000 7.870
Pd 0.069 0.000 5.928
Pd 7.780 0.000 1.949
Pd 9.817 0.000 0.006
Pt 1.954 0.000 3.936
Pt 3.985 0.000 1.964
Pt 5.870 0.000 0.000
Pt 3.864 0.000 5.913
Pt 5.894 0.000 3.940
```

Main lines, sorted by position (2θ = 10–80°):
2θ/deg  Rel. int.
24.14  5
24.31  11
30.60  3
36.06  2
39.84  100
46.10  17
46.46  32
67.38  5
67.57  16
67.80  10



# 3
The following is a calculated XRD peak list of Sm12Ho5Tm. It was derived from a structure optimized by DFT (GGA-PBE), using CuKα.
No peak broadening, texture or thermal motion is included.

```
18
Lattice="7.604 -7.623 0.000 7.604 7.623 0.000 0.000 0.000 5.084" Properties=species:S:1:pos:R:3 pbc="T T T"
Sm 5.090 5.083 2.542
Sm 2.511 0.000 0.000
Sm 5.085 2.541 0.000
Sm 10.118 5.083 2.542
Sm 5.083 0.000 2.542
Sm 10.123 2.541 0.000
Sm 5.085 -2.541 0.000
Sm 10.125 0.000 2.542
Sm 5.090 -5.083 2.542
Sm 10.123 -2.541 0.000
Sm 12.698 0.000 0.000
Sm 10.118 -5.083 2.542
Ho 7.604 5.084 0.000
Ho 7.604 2.540 2.542
Ho 7.604 0.000 0.000
Ho 7.604 -2.540 2.542
Ho 7.604 -5.084 0.000
Tm 0.000 0.000 2.542
```

Main lines, sorted by position (2θ = 10–80°):
2θ/deg  Rel. int.
30.49  100
35.32  34
35.41  17
50.86  36
60.42  29
60.55  14
63.45  12
74.70  4
74.93  2



# 4
The following is a calculated XRD peak list of Pr4Sm2HoTm. It was derived from a structure optimized by DFT (GGA-PBE), using CuKα.
No peak broadening, texture or thermal motion is included.

```
8
Lattice="5.163 0.000 0.000 0.000 5.192 0.000 -0.010 0.000 10.173" Properties=species:S:1:pos:R:3 pbc="T T T"
Pr 5.159 0.000 2.532
Pr -0.005 0.000 7.641
Pr 2.579 2.596 2.542
Pr 2.574 2.596 7.631
Sm 0.000 2.596 0.000
Sm 2.577 0.000 5.087
Ho -0.005 2.596 5.087
Tm 2.582 0.000 0.000
```

Main lines, sorted by position (2θ = 10–80°):
2θ/deg  Rel. int.
30.07  100
34.55  17
34.75  17
35.29  16
49.81  12
50.22  12
59.16  15
59.42  15
60.14  14
62.51  12